(1)
In9Cu11: theoretical X-ray powder pattern (λ = 1.5418 Å (Cu Kα)), based on DFT lattice parameters and positions (GGA-PBE).
Kinematic intensities with the Lorentz-polarization factor, no thermal factor.

Most intense lines, 10° ≤ 2θ ≤ 80°, by angle:
2θ (°)  I_rel  (hkl)
29.04  11  1 1 -2
29.21  30  2 0 -2
32.66  15  2 1 -1
37.14  7  3 0 -1
41.09  20  2 1 3
41.22  35  0 2 0
41.80  100  3 1 0
41.97  17  1 1 4
42.29  13  2 0 4
60.53  8  2 2 4
60.65  6  4 0 -4
75.53  15  3 3 0

Structure:
a = 7.444 Å, b = 4.380 Å, c = 10.522 Å
α = 90.00°, β = 90.62°, γ = 90.00°
Element x y z (fractional)
In  0.000  0.000  0.000
In  0.139  0.500  0.612
In  0.197  0.500  0.159
In  0.306  0.000  0.359
In  0.387  0.000  0.876
In  0.613  0.000  0.124
In  0.694  0.000  0.641
In  0.803  0.500  0.841
In  0.861  0.500  0.388
Cu  0.000  0.000  0.500
Cu  0.029  0.000  0.750
Cu  0.172  0.500  0.881
Cu  0.342  0.000  0.614
Cu  0.473  0.500  0.737
Cu  0.500  0.500  0.000
Cu  0.500  0.500  0.500
Cu  0.527  0.500  0.263
Cu  0.658  0.000  0.386
Cu  0.828  0.500  0.119
Cu  0.971  0.000  0.250

(2)
InCu9: theoretical X-ray powder pattern (λ = 1.5418 Å (Cu Kα)), based on DFT lattice parameters and positions (GGA-PBE).
Kinematic intensities with the Lorentz-polarization factor, no thermal factor.

Most intense lines, 10° ≤ 2θ ≤ 80°, by angle:
2θ (°)  I_rel  (hkl)
10.36  6  0 0 4
36.86  5  0 1 10
38.86  7  0 1 11
43.16  100  1 1 0
43.26  5  1 1 1
43.51  6  1 0 10
45.40  7  0 1 14
49.08  30  1 0 13
51.14  5  1 0 14
52.57  16  0 2 0
72.01  6  2 0 0
74.76  16  1 2 13

Structure:
a = 2.623 Å, b = 3.482 Å, c = 34.150 Å
α = 90.00°, β = 90.00°, γ = 90.00°
Element x y z (fractional)
In  0.250  0.250  0.125
In  0.750  0.750  0.875
Cu  0.250  0.250  0.217
Cu  0.250  0.250  0.293
Cu  0.250  0.250  0.369
Cu  0.250  0.250  0.444
Cu  0.250  0.250  0.519
Cu  0.250  0.250  0.594
Cu  0.250  0.250  0.669
Cu  0.250  0.250  0.745
Cu  0.250  0.250  0.821
Cu  0.750  0.750  0.179
Cu  0.750  0.750  0.255
Cu  0.750  0.750  0.331
Cu  0.750  0.750  0.406
Cu  0.750  0.750  0.481
Cu  0.750  0.750  0.556
Cu  0.750  0.750  0.631
Cu  0.750  0.750  0.707
Cu  0.750  0.750  0.783

(3)
InCu17: theoretical X-ray powder pattern (λ = 1.5418 Å (Cu Kα)), based on DFT lattice parameters and positions (GGA-PBE).
Kinematic intensities with the Lorentz-polarization factor, no thermal factor.

Most intense lines, 10° ≤ 2θ ≤ 80°, by angle:
2θ (°)  I_rel  (hkl)
11.23  18  0 0 4
40.06  10  0 0 14
42.53  33  2 0 4
43.06  26  0 0 15
43.44  100  2 0 5
44.52  25  2 0 6
46.09  9  0 0 16
48.77  19  0 2 9
50.48  56  0 2 10
52.32  14  0 2 11
73.91  13  2 0 20
74.47  28  2 2 0

Structure:
a = 5.098 Å, b = 5.098 Å, c = 31.509 Å
α = 90.00°, β = 90.00°, γ = 120.00°
Element x y z (fractional)
In  0.333  0.667  0.288
In  0.667  0.333  0.712
Cu  0.000  0.000  0.000
Cu  0.000  0.000  0.197
Cu  0.000  0.000  0.803
Cu  0.000  0.500  0.000
Cu  0.003  0.501  0.198
Cu  0.166  0.333  0.737
Cu  0.166  0.834  0.737
Cu  0.167  0.333  0.934
Cu  0.167  0.334  0.132
Cu  0.167  0.833  0.132
Cu  0.167  0.833  0.934
Cu  0.333  0.166  0.263
Cu  0.333  0.167  0.066
Cu  0.333  0.667  0.066
Cu  0.333  0.667  0.868
Cu  0.334  0.167  0.868
Cu  0.499  0.501  0.198
Cu  0.499  0.997  0.198
Cu  0.500  0.000  0.000
Cu  0.500  0.500  0.000
Cu  0.501  0.003  0.802
Cu  0.501  0.499  0.802
Cu  0.666  0.833  0.132
Cu  0.667  0.333  0.132
Cu  0.667  0.333  0.934
Cu  0.667  0.833  0.934
Cu  0.667  0.834  0.737
Cu  0.833  0.167  0.066
Cu  0.833  0.167  0.868
Cu  0.833  0.666  0.868
Cu  0.833  0.667  0.066
Cu  0.834  0.166  0.263
Cu  0.834  0.667  0.263
Cu  0.997  0.499  0.802

(4)
In3Cu: theoretical X-ray powder pattern (λ = 1.5418 Å (Cu Kα)), based on DFT lattice parameters and positions (GGA-PBE).
Kinematic intensities with the Lorentz-polarization factor, no thermal factor.

Most intense lines, 10° ≤ 2θ ≤ 80°, by angle:
2θ (°)  I_rel  (hkl)
17.17  14  1 0 1
28.29  31  2 1 0
29.61  40  1 1 2
34.75  51  2 0 2
36.01  14  2 2 0
37.08  100  2 1 2
40.44  57  3 1 0
48.02  20  0 0 4
59.26  13  4 1 2
60.84  19  3 3 2
64.54  27  3 1 4
77.03  14  5 2 2

Structure:
a = 7.054 Å, b = 7.054 Å, c = 7.578 Å
α = 90.00°, β = 90.00°, γ = 90.00°
Element x y z (fractional)
In  0.000  0.500  0.000
In  0.000  0.500  0.500
In  0.161  0.161  0.249
In  0.161  0.161  0.751
In  0.339  0.661  0.251
In  0.339  0.661  0.749
In  0.500  0.000  0.000
In  0.500  0.000  0.500
In  0.661  0.339  0.251
In  0.661  0.339  0.749
In  0.839  0.839  0.249
In  0.839  0.839  0.751
Cu  0.135  0.865  0.000
Cu  0.365  0.365  0.500
Cu  0.635  0.635  0.500
Cu  0.865  0.135  0.000

(5)
InCu7: theoretical X-ray powder pattern (λ = 1.5418 Å (Cu Kα)), based on DFT lattice parameters and positions (GGA-PBE).
Kinematic intensities with the Lorentz-polarization factor, no thermal factor.

Most intense lines, 10° ≤ 2θ ≤ 80°, by angle:
2θ (°)  I_rel  (hkl)
13.71  9  0 0 5
35.75  8  0 1 9
37.84  11  0 1 10
42.30  55  0 1 12
42.82  100  1 1 0
44.67  34  0 1 13
48.24  37  1 0 12
50.39  23  1 0 13
52.09  27  0 2 0
71.32  10  2 0 0
73.70  19  1 2 12
75.39  13  1 2 13

Structure:
a = 2.645 Å, b = 3.513 Å, c = 32.301 Å
α = 90.00°, β = 90.00°, γ = 90.00°
Element x y z (fractional)
In  0.250  0.250  0.189
In  0.750  0.750  0.811
Cu  0.250  0.250  0.283
Cu  0.250  0.250  0.362
Cu  0.250  0.250  0.441
Cu  0.250  0.250  0.520
Cu  0.250  0.250  0.599
Cu  0.250  0.250  0.678
Cu  0.250  0.250  0.756
Cu  0.750  0.750  0.244
Cu  0.750  0.750  0.322
Cu  0.750  0.750  0.401
Cu  0.750  0.750  0.480
Cu  0.750  0.750  0.559
Cu  0.750  0.750  0.638
Cu  0.750  0.750  0.717

(6)
InCu9: theoretical X-ray powder pattern (λ = 1.5418 Å (Cu Kα)), based on DFT lattice parameters and positions (GGA-PBE).
Kinematic intensities with the Lorentz-polarization factor, no thermal factor.

Most intense lines, 10° ≤ 2θ ≤ 80°, by angle:
2θ (°)  I_rel  (hkl)
13.48  7  0 0 7
35.80  6  1 0 6
38.21  7  1 0 9
39.18  12  1 0 10
41.38  10  1 0 12
42.58  100  1 0 13
43.85  81  1 0 14
48.50  67  1 1 0
53.83  12  0 0 27
71.02  20  2 0 0
75.35  16  1 1 27
77.18  6  1 1 28

Structure:
a = 2.655 Å, b = 2.655 Å, c = 45.983 Å
α = 90.00°, β = 90.00°, γ = 90.00°
Element x y z (fractional)
In  0.250  0.250  0.138
In  0.750  0.750  0.862
Cu  0.250  0.250  0.225
Cu  0.250  0.250  0.299
Cu  0.250  0.250  0.373
Cu  0.250  0.250  0.446
Cu  0.250  0.250  0.518
Cu  0.250  0.250  0.591
Cu  0.250  0.250  0.664
Cu  0.250  0.250  0.738
Cu  0.250  0.250  0.812
Cu  0.750  0.750  0.188
Cu  0.750  0.750  0.262
Cu  0.750  0.750  0.336
Cu  0.750  0.750  0.409
Cu  0.750  0.750  0.482
Cu  0.750  0.750  0.554
Cu  0.750  0.750  0.627
Cu  0.750  0.750  0.701
Cu  0.750  0.750  0.775

(7)
In4Cu9: theoretical X-ray powder pattern (λ = 1.5418 Å (Cu Kα)), based on DFT lattice parameters and positions (GGA-PBE).
Kinematic intensities with the Lorentz-polarization factor, no thermal factor.

Most intense lines, 10° ≤ 2θ ≤ 80°, by angle:
2θ (°)  I_rel  (hkl)
29.26  9  3 0 0
33.92  9  2 2 2
36.73  6  3 2 1
41.86  100  3 3 0
46.52  4  3 3 2
50.85  3  5 1 0
54.93  4  5 2 1
57.85  3  5 2 2
60.69  9  6 0 0
69.65  3  6 3 1
71.37  5  4 4 4
76.45  19  6 3 3

Structure:
a = 9.156 Å, b = 9.156 Å, c = 9.156 Å
α = 90.00°, β = 90.00°, γ = 90.00°
Element x y z (fractional)
In  0.036  0.308  0.308
In  0.036  0.692  0.692
In  0.308  0.036  0.308
In  0.308  0.308  0.036
In  0.308  0.692  0.964
In  0.308  0.964  0.692
In  0.368  0.368  0.632
In  0.368  0.632  0.368
In  0.632  0.368  0.368
In  0.632  0.632  0.632
In  0.692  0.036  0.692
In  0.692  0.308  0.964
In  0.692  0.692  0.036
In  0.692  0.964  0.308
In  0.964  0.308  0.692
In  0.964  0.692  0.308
Cu  0.000  0.000  0.353
Cu  0.000  0.000  0.647
Cu  0.000  0.353  0.000
Cu  0.000  0.647  0.000
Cu  0.098  0.098  0.098
Cu  0.098  0.902  0.902
Cu  0.142  0.500  0.500
Cu  0.170  0.170  0.830
Cu  0.170  0.830  0.170
Cu  0.175  0.175  0.529
Cu  0.175  0.471  0.825
Cu  0.175  0.529  0.175
Cu  0.175  0.825  0.471
Cu  0.334  0.334  0.334
Cu  0.334  0.666  0.666
Cu  0.353  0.000  0.000
Cu  0.471  0.175  0.825
Cu  0.471  0.825  0.175
Cu  0.500  0.142  0.500
Cu  0.500  0.500  0.142
Cu  0.500  0.500  0.858
Cu  0.500  0.858  0.500
Cu  0.529  0.175  0.175
Cu  0.529  0.825  0.825
Cu  0.647  0.000  0.000
Cu  0.666  0.334  0.666
Cu  0.666  0.666  0.334
Cu  0.825  0.175  0.471
Cu  0.825  0.471  0.175
Cu  0.825  0.529  0.825
Cu  0.825  0.825  0.529
Cu  0.830  0.170  0.170
Cu  0.830  0.830  0.830
Cu  0.858  0.500  0.500
Cu  0.902  0.098  0.902
Cu  0.902  0.902  0.098

(8)
In2Cu9: theoretical X-ray powder pattern (λ = 1.5418 Å (Cu Kα)), based on DFT lattice parameters and positions (GGA-PBE).
Kinematic intensities with the Lorentz-polarization factor, no thermal factor.

Most intense lines, 10° ≤ 2θ ≤ 80°, by angle:
2θ (°)  I_rel  (hkl)
13.33  24  0 0 5
21.41  12  0 0 8
40.39  100  1 0 5
41.42  91  1 0 6
43.62  24  0 0 16
45.47  17  0 1 9
46.50  16  0 0 17
47.09  13  0 1 10
48.84  77  0 1 11
50.70  11  0 1 12
68.55  35  1 1 0
74.53  17  1 0 22

Structure:
a = 2.738 Å, b = 2.738 Å, c = 33.203 Å
α = 90.00°, β = 90.00°, γ = 120.00°
Element x y z (fractional)
In  0.333  0.667  0.310
In  0.667  0.333  0.690
Cu  0.000  0.000  0.000
Cu  0.000  0.000  0.178
Cu  0.000  0.000  0.822
Cu  0.333  0.667  0.118
Cu  0.333  0.667  0.763
Cu  0.333  0.667  0.941
Cu  0.667  0.333  0.059
Cu  0.667  0.333  0.237
Cu  0.667  0.333  0.882

(9)
InCu17: theoretical X-ray powder pattern (λ = 1.5418 Å (Cu Kα)), based on DFT lattice parameters and positions (GGA-PBE).
Kinematic intensities with the Lorentz-polarization factor, no thermal factor.

Most intense lines, 10° ≤ 2θ ≤ 80°, by angle:
2θ (°)  I_rel  (hkl)
11.24  19  0 0 4
42.56  28  2 0 -4
43.08  27  0 0 15
43.47  100  1 2 5
44.55  26  1 2 6
46.11  9  0 0 16
48.76  11  1 2 -9
50.46  38  1 2 -10
50.61  19  2 0 10
52.30  11  1 2 -11
73.95  13  2 0 -20
74.57  12  3 2 0

Structure:
a = 4.405 Å, b = 5.103 Å, c = 31.496 Å
α = 90.00°, β = 90.09°, γ = 90.00°
Element x y z (fractional)
In  0.167  0.250  0.284
In  0.833  0.750  0.716
Cu  0.000  0.000  0.000
Cu  0.000  0.001  0.197
Cu  0.000  0.499  0.197
Cu  0.000  0.500  0.000
Cu  0.000  0.501  0.803
Cu  0.000  0.999  0.803
Cu  0.166  0.750  0.263
Cu  0.167  0.750  0.065
Cu  0.167  0.750  0.869
Cu  0.168  0.250  0.065
Cu  0.168  0.250  0.869
Cu  0.333  0.000  0.131
Cu  0.333  0.000  0.935
Cu  0.333  0.006  0.737
Cu  0.333  0.494  0.737
Cu  0.333  0.500  0.131
Cu  0.333  0.500  0.935
Cu  0.500  0.250  0.000
Cu  0.500  0.250  0.197
Cu  0.500  0.250  0.803
Cu  0.500  0.750  0.000
Cu  0.500  0.750  0.197
Cu  0.500  0.750  0.803
Cu  0.667  0.000  0.065
Cu  0.667  0.000  0.869
Cu  0.667  0.500  0.065
Cu  0.667  0.500  0.869
Cu  0.667  0.506  0.263
Cu  0.667  0.994  0.263
Cu  0.832  0.750  0.131
Cu  0.832  0.750  0.935
Cu  0.833  0.250  0.131
Cu  0.833  0.250  0.935
Cu  0.834  0.250  0.737

(10)
Li4In2CuIr: theoretical X-ray powder pattern (λ = 1.5418 Å (Cu Kα)), based on DFT lattice parameters and positions (GGA-PBE).
Kinematic intensities with the Lorentz-polarization factor, no thermal factor.

Most intense lines, 10° ≤ 2θ ≤ 80°, by angle:
2θ (°)  I_rel  (hkl)
14.11  11  0 0 1
20.03  10  1 0 0
24.59  100  1 0 1
31.91  6  1 1 1
40.69  94  2 0 0
48.12  49  2 1 1
58.84  5  0 0 4
58.94  10  2 2 0
64.80  20  3 0 1
74.05  31  3 1 2
79.35  7  3 0 3
79.44  7  3 2 1

Structure:
a = 4.432 Å, b = 4.432 Å, c = 6.278 Å
α = 90.00°, β = 90.00°, γ = 90.00°
Element x y z (fractional)
Li  0.000  0.000  0.000
Li  0.000  0.500  0.748
Li  0.500  0.000  0.252
Li  0.500  0.500  0.500
In  0.000  0.500  0.250
In  0.500  0.000  0.750
Cu  0.000  0.000  0.500
Ir  0.500  0.500  0.000